(1)
Computed X-ray powder pattern
Compound: Fe4P3O12
Radiation: λ = 1.5418 Å (Cu Kα)
Structure: a crystal structure in the Materials Project, relaxed with GGA+U
Intensities are scaled so that the largest is 100.

a b c (Å): 12.0214 12.6387 6.5849
angles (deg): 90.00 113.84 90.00
Space group C2/c (No. 15)
One atom of each set of equivalent atoms:
Fe 0.0000 0.0049 0.2500
Fe 0.0000 0.2536 0.2500
Fe 0.2088 0.3476 0.1195
P 0.0000 0.2082 0.7500
P 0.2356 0.3865 0.6288
O 0.0375 0.2766 0.9622
O 0.1017 0.1274 0.7621
O 0.1249 0.1142 0.3286
O 0.1622 0.3356 0.3966
O 0.1921 0.4994 0.6330
O 0.2232 0.3161 0.8114

Top 12 peaks for 2θ from 5° to 70°, most intense first:
hkl 1 1 -2, 2θ = 28.27°, d = 3.156 Å, intensity 100; hkl 2 4 0, 2θ = 32.69°, d = 2.739 Å, intensity 85; hkl 3 1 0, 2θ = 25.30°, d = 3.520 Å, intensity 53; hkl 1 1 0, 2θ = 10.66°, d = 8.295 Å, intensity 49; hkl 0 2 0, 2θ = 14.01°, d = 6.319 Å, intensity 43; hkl 4 0 0, 2θ = 32.57°, d = 2.749 Å, intensity 32; hkl 4 0 -2, 2θ = 34.13°, d = 2.627 Å, intensity 31; hkl 0 0 2, 2θ = 29.66°, d = 3.012 Å, intensity 29; hkl 2 0 -4, 2θ = 56.46°, d = 1.630 Å, intensity 23; hkl 3 1 -3, 2θ = 42.29°, d = 2.137 Å, intensity 21; hkl 6 4 -2, 2θ = 55.25°, d = 1.663 Å, intensity 20; hkl 5 3 0, 2θ = 46.59°, d = 1.949 Å, intensity 18

---

(2)
Computed X-ray powder pattern
Compound: Fe2P4PbO14
Radiation: λ = 1.5418 Å (Cu Kα)
Structure: a crystal structure in the Materials Project, relaxed with GGA+U
Intensities are scaled so that the largest is 100.

a b c (Å): 4.8761 7.2044 8.0172
angles (deg): 89.48 87.38 73.31
Space group P-1 (No. 2)
One atom of each set of equivalent atoms:
Fe 0.0000 0.0000 0.0000
Fe 0.5000 0.5000 0.5000
P 0.0293 0.3817 0.7468
P 0.3847 0.2290 0.2034
Pb 0.0000 0.0000 0.5000
O 0.0852 0.2003 0.8520
O 0.1220 0.6488 0.4133
O 0.1859 0.0958 0.2069
O 0.1939 0.4441 0.1516
O 0.3026 0.4364 0.7042
O 0.3759 0.8216 0.9291
O 0.4859 0.2425 0.3835

Top 12 peaks for 2θ from 5° to 70°, most intense first:
hkl 0 0 1, 2θ = 11.05°, d = 8.009 Å, intensity 100; hkl 1 1 2, 2θ = 29.21°, d = 3.058 Å, intensity 94; hkl 1 1 -1, 2θ = 23.01°, d = 3.865 Å, intensity 84; hkl 0 1 -2, 2θ = 25.70°, d = 3.466 Å, intensity 74; hkl 1 -1 0, 2θ = 25.94°, d = 3.435 Å, intensity 60; hkl 1 0 0, 2θ = 19.02°, d = 4.666 Å, intensity 59; hkl 1 1 -2, 2θ = 30.44°, d = 2.936 Å, intensity 58; hkl 0 2 1, 2θ = 28.20°, d = 3.164 Å, intensity 54; hkl 1 -1 1, 2θ = 27.90°, d = 3.198 Å, intensity 53; hkl 0 1 0, 2θ = 12.83°, d = 6.901 Å, intensity 43; hkl 1 2 0, 2θ = 27.38°, d = 3.257 Å, intensity 37; hkl 1 1 0, 2θ = 19.67°, d = 4.513 Å, intensity 36

---

(3)
Computed X-ray powder pattern
Compound: Fe3P3PbO13
Radiation: λ = 1.5418 Å (Cu Kα)
Structure: a crystal structure in the Materials Project, relaxed with GGA+U
Intensities are scaled so that the largest is 100.

a b c (Å): 7.7065 6.4517 10.5678
angles (deg): 90.00 99.64 90.00
Space group P2_1/m (No. 11)
One atom of each set of equivalent atoms:
Fe 0.0000 0.0000 0.0000
Fe 0.2120 0.2500 0.5575
Fe 0.3473 0.7500 0.1974
P 0.2170 0.7500 0.4795
P 0.2525 0.2500 0.2376
P 0.3122 0.2500 0.8831
Pb 0.3364 0.7500 0.7992
O 0.0230 0.7500 0.4104
O 0.0778 0.2500 0.1353
O 0.1211 0.7500 0.0878
O 0.2044 0.2500 0.3726
O 0.2100 0.0540 0.9121
O 0.2531 0.5579 0.5705
O 0.3420 0.2500 0.7401
O 0.3417 0.7500 0.3817
O 0.3662 0.0612 0.2119
O 0.4943 0.7500 0.0459

Top 12 peaks for 2θ from 5° to 70°, most intense first:
hkl 0 2 0, 2θ = 27.65°, d = 3.226 Å, intensity 100; hkl 2 0 0, 2θ = 23.45°, d = 3.794 Å, intensity 91; hkl 1 0 2, 2θ = 22.25°, d = 3.996 Å, intensity 87; hkl 0 0 1, 2θ = 8.49°, d = 10.419 Å, intensity 69; hkl 1 0 3, 2θ = 30.07°, d = 2.972 Å, intensity 66; hkl 2 1 0, 2θ = 27.24°, d = 3.274 Å, intensity 64; hkl 0 1 3, 2θ = 29.20°, d = 3.058 Å, intensity 63; hkl 2 1 -3, 2θ = 34.84°, d = 2.575 Å, intensity 54; hkl 1 2 -1, 2θ = 30.77°, d = 2.906 Å, intensity 52; hkl 2 2 0, 2θ = 36.57°, d = 2.457 Å, intensity 52; hkl 0 2 3, 2θ = 38.07°, d = 2.364 Å, intensity 50; hkl 2 0 -1, 2θ = 23.55°, d = 3.778 Å, intensity 49

---

(4)
Computed X-ray powder pattern
Compound: FeP2PbO7
Radiation: λ = 1.5418 Å (Cu Kα)
Structure: a crystal structure in the Materials Project, relaxed with GGA+U
Intensities are scaled so that the largest is 100.

a b c (Å): 5.4626 8.4476 14.0563
angles (deg): 90.00 112.15 90.00
Space group P2_1/c (No. 14)
One atom of each set of equivalent atoms:
Fe 0.0745 0.1501 0.3943
P 0.0854 0.5393 0.3360
P 0.2962 0.6997 0.9817
Pb 0.4340 0.1753 0.7216
O 0.0789 0.5958 0.9043
O 0.1664 0.1351 0.8490
O 0.2059 0.6212 0.2655
O 0.2144 0.0634 0.2017
O 0.2157 0.6172 0.4490
O 0.2945 0.6885 0.0906
O 0.4330 0.1714 0.5249

Top 12 peaks for 2θ from 5° to 70°, most intense first:
hkl 0 0 2, 2θ = 13.60°, d = 6.509 Å, intensity 100; hkl 1 0 -4, 2θ = 26.39°, d = 3.377 Å, intensity 92; hkl 1 2 -1, 2θ = 26.68°, d = 3.341 Å, intensity 75; hkl 1 1 2, 2θ = 28.16°, d = 3.169 Å, intensity 61; hkl 2 0 -2, 2θ = 32.79°, d = 2.731 Å, intensity 47; hkl 1 2 1, 2θ = 29.97°, d = 2.982 Å, intensity 42; hkl 0 2 3, 2θ = 29.51°, d = 3.027 Å, intensity 39; hkl 1 2 0, 2θ = 27.51°, d = 3.242 Å, intensity 37; hkl 3 1 0, 2θ = 55.53°, d = 1.655 Å, intensity 35; hkl 0 1 6, 2θ = 43.04°, d = 2.102 Å, intensity 34; hkl 0 2 0, 2θ = 21.03°, d = 4.224 Å, intensity 33; hkl 1 0 -2, 2θ = 17.69°, d = 5.015 Å, intensity 32

---

(5)
Computed X-ray powder pattern
Compound: Fe2P4Pb3O16
Radiation: λ = 1.5418 Å (Cu Kα)
Structure: a crystal structure in the Materials Project, relaxed with GGA+U
Intensities are scaled so that the largest is 100.

a b c (Å): 9.1349 9.1939 9.4680
angles (deg): 90.00 116.97 90.00
Space group P2_1/c (No. 14)
One atom of each set of equivalent atoms:
Fe 0.2460 0.1335 0.2422
P 0.0203 0.1386 0.8444
P 0.4259 0.0889 0.6392
Pb 0.0000 0.0000 0.5000
Pb 0.3022 0.7066 0.5322
O 0.0784 0.5040 0.7523
O 0.0892 0.2058 0.7346
O 0.0954 0.7483 0.6305
O 0.1615 0.0918 0.0060
O 0.3150 0.5429 0.1261
O 0.3885 0.5481 0.7600
O 0.3930 0.1500 0.4764
O 0.4055 0.2136 0.7407

Top 12 peaks for 2θ from 5° to 70°, most intense first:
hkl 1 1 -2, 2θ = 21.13°, d = 4.205 Å, intensity 100; hkl 1 1 0, 2θ = 14.53°, d = 6.095 Å, intensity 52; hkl 0 3 1, 2θ = 31.05°, d = 2.881 Å, intensity 50; hkl 1 1 2, 2θ = 29.56°, d = 3.022 Å, intensity 48; hkl 2 2 0, 2θ = 29.31°, d = 3.048 Å, intensity 46; hkl 2 2 -2, 2θ = 29.77°, d = 3.001 Å, intensity 42; hkl 2 2 -1, 2θ = 27.54°, d = 3.239 Å, intensity 42; hkl 3 0 -2, 2θ = 30.00°, d = 2.979 Å, intensity 39; hkl 2 1 -1, 2θ = 21.74°, d = 4.088 Å, intensity 34; hkl 1 3 0, 2θ = 31.20°, d = 2.866 Å, intensity 34; hkl 3 1 -2, 2θ = 31.58°, d = 2.833 Å, intensity 34; hkl 3 0 0, 2θ = 33.01°, d = 2.714 Å, intensity 30

---

(6)
Computed X-ray powder pattern
Compound: Pr2FeP2O
Radiation: λ = 1.5418 Å (Cu Kα)
Structure: a crystal structure in the Materials Project, relaxed with GGA+U
Intensities are scaled so that the largest is 100.

a b c (Å): 3.3738 3.3738 14.8179
angles (deg): 90.00 90.00 90.00
Space group P4/mmm (No. 123)
One atom of each set of equivalent atoms:
Pr 0.0000 0.0000 0.1447
Fe 0.0000 0.0000 0.5000
P 0.0000 0.0000 0.3462
O 0.0000 0.0000 0.0000

Top 12 peaks for 2θ from 5° to 70°, most intense first:
hkl 1 0 0, 2θ = 26.42°, d = 3.374 Å, intensity 100; hkl 0 0 1, 2θ = 5.96°, d = 14.818 Å, intensity 60; hkl 0 0 3, 2θ = 17.96°, d = 4.939 Å, intensity 39; hkl 1 0 3, 2θ = 32.13°, d = 2.786 Å, intensity 39; hkl 1 1 0, 2θ = 37.71°, d = 2.386 Å, intensity 38; hkl 1 0 6, 2θ = 45.52°, d = 1.993 Å, intensity 25; hkl 1 0 4, 2θ = 36.01°, d = 2.494 Å, intensity 24; hkl 1 1 3, 2θ = 42.06°, d = 2.148 Å, intensity 19; hkl 2 1 0, 2θ = 61.45°, d = 1.509 Å, intensity 17; hkl 0 0 4, 2θ = 24.02°, d = 3.704 Å, intensity 17; hkl 1 1 6, 2θ = 53.40°, d = 1.716 Å, intensity 16; hkl 2 0 0, 2θ = 54.39°, d = 1.687 Å, intensity 13